The following is a computed X-ray diffraction stick pattern of Sr4LiMn2Cu3S4O4. It was derived from a crystal structure in Alexandria, relaxed with PBE+U, using Cu Kα, 1.54184 Å.

Cell and atoms:
Cell: 5.8281 17.6295 5.8270 Å, 90.00 90.00 90.00°
Space group C222 (No. 21)
Inequivalent atoms, fractional coordinates:
Sr1 0.2474 0.1571 0.2475 [8 per cell]
Li1 0.0000 0.5000 0.5000 [2 per cell]
Mn1 0.2500 0.2500 0.7491 [4 per cell]
Cu1 0.0000 0.0000 0.0000 [2 per cell]
Cu2 0.0000 0.0000 0.5000 [2 per cell]
Cu3 0.0000 0.5000 0.0000 [2 per cell]
S1 0.2485 0.0753 0.7515 [8 per cell]
O1 0.0000 0.2496 0.5000 [4 per cell]
O2 0.0000 0.2508 0.0000 [4 per cell]

Principal peaks in the range 2θ = 5–70°, by intensity:
two_theta	Rel. int.	(hkl)
33.45	100.0	1 5 1
43.95	56.5	2 0 2
36.98	50.7	2 4 0
56.33	41.9	3 5 1
32.36	36.2	2 2 0
30.68	20.8	2 0 0

The following is a computed X-ray diffraction stick pattern of Sr4LiMn2Cu3S4O4. It was derived from a crystal structure in Alexandria, relaxed with PBE+U, using Cu Kα, 1.54184 Å.

Cell and atoms:
Cell: 5.8313 6.6402 9.2488 Å, 78.13 71.93 89.07°
Space group P1 (No. 1)
Inequivalent atoms, fractional coordinates:
Sr1 0.0000 0.0000 0.0000 [1 per cell]
Sr2 0.1917 0.4716 0.4995 [1 per cell]
Sr3 0.4700 0.3787 0.0744 [1 per cell]
Sr4 0.7872 0.9790 0.4250 [1 per cell]
Li1 0.3120 0.1060 0.3676 [1 per cell]
Mn1 0.4303 0.8328 0.1785 [1 per cell]
Mn2 0.8892 0.5150 0.2445 [1 per cell]
Cu1 0.3114 0.7098 0.7494 [1 per cell]
Cu2 0.5246 0.2138 0.7155 [1 per cell]
Cu3 0.8226 0.6835 0.7931 [1 per cell]
S1 0.0297 0.4909 0.9473 [1 per cell]
S2 0.2599 0.0371 0.6333 [1 per cell]
S3 0.5800 0.9375 0.8938 [1 per cell]
S4 0.6572 0.5423 0.6369 [1 per cell]
O1 0.0635 0.7898 0.2494 [1 per cell]
O2 0.0844 0.2810 0.3174 [1 per cell]
O3 0.5367 0.5551 0.2663 [1 per cell]
O4 0.6030 0.0681 0.2196 [1 per cell]

Principal peaks in the range 2θ = 5–70°, by intensity:
two_theta	Rel. int.	(hkl)
30.82	100.0	1 1 3
30.67	22.8	2 0 1
30.06	21.7	1 0 -2
27.22	21.3	0 1 -2
42.04	20.3	2 -2 1
31.46	16.1	0 2 -1

The following is a computed X-ray diffraction stick pattern of Sr4LiMn2Cu3S4O4. It was derived from a crystal structure in Alexandria, relaxed with PBE+U, using Cu Kα, 1.54184 Å.

Cell and atoms:
Cell: 5.9025 17.8086 5.8939 Å, 90.00 93.77 90.00°
Space group C2 (No. 5)
Inequivalent atoms, fractional coordinates:
Sr1 0.2112 0.0000 0.2852 [4 per cell]
Sr2 0.2337 0.8112 0.2734 [4 per cell]
Li1 0.0000 0.5487 0.0000 [2 per cell]
Mn1 0.2350 0.4014 0.2327 [4 per cell]
Cu1 0.0000 0.1631 0.0000 [2 per cell]
Cu2 0.0000 0.1645 0.5000 [2 per cell]
Cu3 0.0000 0.6812 0.0000 [2 per cell]
S1 0.2403 0.2508 0.2325 [4 per cell]
S2 0.2406 0.1028 0.7524 [4 per cell]
O1 0.0000 0.4077 0.5000 [2 per cell]
O2 0.0000 0.4488 0.0000 [2 per cell]
O3 0.0000 0.9092 0.0000 [2 per cell]
O4 0.0000 0.9122 0.5000 [2 per cell]

Principal peaks in the range 2θ = 5–70°, by intensity:
two_theta	Rel. int.	(hkl)
33.57	100.0	1 5 1
36.60	71.7	2 4 0
32.63	57.6	1 5 -1
41.97	54.7	2 0 -2
32.03	51.2	2 2 0
44.97	40.2	2 0 2

The following is a computed X-ray diffraction stick pattern of Sr4LiMn2Cu3S4O4. It was derived from a crystal structure in Alexandria, relaxed with PBE+U, using Cu Kα, 1.54184 Å.

Cell and atoms:
Cell: 5.8562 6.3090 8.9070 Å, 91.03 107.86 94.35°
Space group P1 (No. 1)
Inequivalent atoms, fractional coordinates:
Sr1 0.0000 0.0000 0.0000 [1 per cell]
Sr2 0.1757 0.9298 0.4211 [1 per cell]
Sr3 0.4148 0.5839 0.9668 [1 per cell]
Sr4 0.6742 0.3948 0.3733 [1 per cell]
Li1 0.5419 0.1732 0.0519 [1 per cell]
Mn1 0.0724 0.4711 0.1880 [1 per cell]
Mn2 0.6254 0.8964 0.2627 [1 per cell]
Cu1 0.0649 0.2462 0.6932 [1 per cell]
Cu2 0.5471 0.2623 0.7161 [1 per cell]
Cu3 0.6188 0.6720 0.6585 [1 per cell]
S1 0.2529 0.4519 0.5223 [1 per cell]
S2 0.3588 0.9934 0.8082 [1 per cell]
S3 0.7323 0.9737 0.5506 [1 per cell]
S4 0.8842 0.4757 0.8395 [1 per cell]
O1 0.2796 0.7782 0.1804 [1 per cell]
O2 0.3263 0.2949 0.1366 [1 per cell]
O3 0.7942 0.6519 0.2042 [1 per cell]
O4 0.8394 0.1437 0.2074 [1 per cell]

Principal peaks in the range 2θ = 5–70°, by intensity:
two_theta	Rel. int.	(hkl)
33.99	100.0	-1 1 3
30.77	54.1	0 2 1
34.49	51.3	1 1 2
43.89	46.9	2 2 -1
34.81	46.6	0 2 -2
32.48	37.0	1 -1 2